1.
Theoretical powder diffractogram of Mn2Al2W for CuKα, from a crystal structure in Alexandria, relaxed with GGA-PBE.
Intensities are scaled so that the largest is 100.

Top 6 peaks for 10 to 90 degrees two-theta, in order of falling intensity:
| 2θ/deg | I_rel | (hkl) |
| --- | --- | --- |
| 10.75 | 100 | 0 2 0 |
| 43.68 | 32 | 1 1 1 |
| 41.26 | 22 | 1 5 0 |
| 44.90 | 19 | 0 6 1 |
| 37.25 | 15 | 0 4 1 |
| 49.73 | 8 | 1 7 0 |

a b c (Å): 2.928 16.462 2.980
angles (deg): 90.00 90.00 90.00
Space group Cmmm (No. 65)
Symmetry-distinct sites (fractional):
Mn (0.000, 0.089, 0.000) x4
Al (0.000, 0.323, 0.500) x4
W (0.000, 0.500, 0.500) x2

---

2.
Theoretical powder diffractogram of Tb2Al9Pd6 for CuKα, from a crystal structure in Alexandria, relaxed with GGA-PBE.
Intensities are scaled so that the largest is 100.

Top 6 peaks for 10 to 90 degrees two-theta, in order of falling intensity:
| 2θ/deg | I_rel | (hkl) |
| --- | --- | --- |
| 39.69 | 100 | 1 1 3 |
| 33.18 | 60 | 1 1 0 |
| 21.16 | 40 | 0 0 3 |
| 55.44 | 25 | 1 1 6 |
| 63.67 | 24 | 3 0 3 |
| 20.25 | 18 | 1 0 1 |

a b c (Å): 5.4005 5.4005 12.5961
angles (deg): 90.00 90.00 120.00
Space group P6/mmm (No. 191)
Symmetry-distinct sites (fractional):
Tb (0.0000, 0.0000, 0.1554) x2
Al (0.0000, 0.5000, 0.0000) x3
Al (0.0000, 0.5000, 0.3383) x6
Pd (0.3333, 0.6667, 0.1715) x4
Pd (0.3333, 0.6667, 0.5000) x2

---

3.
Theoretical powder diffractogram of Mg6GeBi3 for CuKα, from a crystal structure in Alexandria, relaxed with GGA-PBE.
Intensities are scaled so that the largest is 100.

Top 6 peaks for 10 to 90 degrees two-theta, in order of falling intensity:
| 2θ/deg | I_rel | (hkl) |
| --- | --- | --- |
| 23.41 | 100 | 1 1 1 |
| 22.82 | 50 | 0 2 0 |
| 26.03 | 45 | 1 1 -3 |
| 25.65 | 41 | 0 0 4 |
| 39.25 | 36 | 2 1 -3 |
| 42.29 | 32 | 1 1 5 |

a b c (Å): 5.045 7.793 14.231
angles (deg): 90.00 102.53 90.00
Space group P2_1/c (No. 14)
Symmetry-distinct sites (fractional):
Mg (0.031, 0.185, 0.077) x4
Mg (0.138, 0.570, 0.201) x4
Mg (0.447, 0.139, 0.424) x4
Ge (0.000, 0.000, 0.500) x2
Bi (0.316, 0.564, 0.724) x4
Bi (0.500, 0.000, 0.000) x2

---

4.
Theoretical powder diffractogram of Mo4PC for CuKα, from a crystal structure in Alexandria, relaxed with GGA-PBE.
Intensities are scaled so that the largest is 100.

Top 6 peaks for 10 to 90 degrees two-theta, in order of falling intensity:
| 2θ/deg | I_rel | (hkl) |
| --- | --- | --- |
| 37.50 | 100 | 0 2 1 |
| 37.21 | 84 | 2 1 0 |
| 37.37 | 67 | 2 1 -1 |
| 38.58 | 65 | 1 0 2 |
| 36.15 | 61 | 1 1 -2 |
| 49.85 | 34 | 1 1 -3 |

a b c (Å): 5.579 5.278 5.900
angles (deg): 90.00 103.00 90.00
Space group P2_1/c (No. 14)
Symmetry-distinct sites (fractional):
Mo (0.098, 0.143, 0.189) x4
Mo (0.346, 0.639, 0.126) x4
P (0.500, 0.000, 0.000) x2
C (0.000, 0.000, 0.500) x2

---

5.
Theoretical powder diffractogram of Pb5Cl for CuKα, from a crystal structure in Alexandria, relaxed with GGA-PBE.
Intensities are scaled so that the largest is 100.

Top 6 peaks for 10 to 90 degrees two-theta, in order of falling intensity:
| 2θ/deg | I_rel | (hkl) |
| --- | --- | --- |
| 33.54 | 100 | 1 1 1 |
| 31.45 | 26 | 0 0 2 |
| 29.52 | 25 | 1 1 0 |
| 62.38 | 23 | 3 0 2 |
| 57.34 | 22 | 1 1 3 |
| 52.37 | 19 | 3 0 0 |

a b c (Å): 6.0518 6.0518 5.6890
angles (deg): 90.00 90.00 120.00
Space group P-62m (No. 189)
Symmetry-distinct sites (fractional):
Pb (0.0000, 0.6618, 0.0000) x3
Pb (0.3333, 0.6667, 0.5000) x2
Cl (0.0000, 0.0000, 0.5000) x1

---

6.
Theoretical powder diffractogram of PtS2ClF for CuKα, from a crystal structure in Alexandria, relaxed with GGA-PBE.
Intensities are scaled so that the largest is 100.

Top 6 peaks for 10 to 90 degrees two-theta, in order of falling intensity:
| 2θ/deg | I_rel | (hkl) |
| --- | --- | --- |
| 19.17 | 100 | 1 0 0 |
| 26.36 | 65 | 1 0 1 |
| 17.92 | 55 | 0 0 1 |
| 38.90 | 37 | 2 0 0 |
| 27.24 | 32 | 1 1 0 |
| 41.37 | 28 | 1 0 2 |

a b c (Å): 4.631 4.631 4.950
angles (deg): 90.00 90.00 90.00
Space group P4/mmm (No. 123)
Symmetry-distinct sites (fractional):
Pt (0.000, 0.000, 0.000) x1
S (0.000, 0.500, 0.000) x2
Cl (0.000, 0.000, 0.500) x1
F (0.500, 0.500, 0.500) x1

---

7.
Theoretical powder diffractogram of RbNpTl2Cl8 for CuKα, from a crystal structure in Alexandria, relaxed with GGA-PBE.
Intensities are scaled so that the largest is 100.

Top 6 peaks for 10 to 90 degrees two-theta, in order of falling intensity:
| 2θ/deg | I_rel | (hkl) |
| --- | --- | --- |
| 17.38 | 100 | 1 -1 0 |
| 22.07 | 95 | 0 1 2 |
| 17.86 | 89 | 1 1 0 |
| 22.74 | 56 | 1 0 2 |
| 34.77 | 32 | 2 1 -2 |
| 15.04 | 31 | 0 1 -1 |

a b c (Å): 6.805 7.485 9.560
angles (deg): 90.27 90.02 91.58
Space group P-1 (No. 2)
Symmetry-distinct sites (fractional):
Rb (0.000, 0.000, 0.000) x1
Np (0.000, 0.000, 0.500) x1
Tl (0.498, 0.498, 0.771) x2
Cl (0.135, 0.798, 0.310) x2
Cl (0.140, 0.801, 0.689) x2
Cl (0.310, 0.188, 0.498) x2
Cl (0.370, 0.274, 0.001) x2

---

8.
Theoretical powder diffractogram of Sr3Al5 for CuKα, from a crystal structure in Alexandria, relaxed with GGA-PBE.
Intensities are scaled so that the largest is 100.

Top 6 peaks for 10 to 90 degrees two-theta, in order of falling intensity:
| 2θ/deg | I_rel | (hkl) |
| --- | --- | --- |
| 24.54 | 100 | 1 1 1 |
| 29.09 | 58 | 3 0 0 |
| 38.42 | 53 | 2 2 1 |
| 31.40 | 24 | 2 1 1 |
| 48.91 | 16 | 4 1 1 |
| 40.12 | 16 | 1 1 2 |

a b c (Å): 10.6322 10.6322 4.9606
angles (deg): 90.00 90.00 120.00
Space group P6_3/mcm (No. 193)
Symmetry-distinct sites (fractional):
Sr (0.0000, 0.3596, 0.2500) x6
Al (0.0000, 0.1452, 0.7500) x6
Al (0.3333, 0.6667, 0.0000) x4

---

9.
Theoretical powder diffractogram of La3Pm7Y2 for CuKα, from a crystal structure in Alexandria, relaxed with GGA-PBE.
Intensities are scaled so that the largest is 100.

Top 6 peaks for 10 to 90 degrees two-theta, in order of falling intensity:
| 2θ/deg | I_rel | (hkl) |
| --- | --- | --- |
| 31.02 | 100 | 1 1 6 |
| 31.26 | 27 | 0 0 12 |
| 33.64 | 22 | 2 0 5 |
| 64.65 | 21 | 2 2 12 |
| 49.93 | 20 | 0 3 6 |
| 55.02 | 19 | 2 2 0 |

a b c (Å): 6.6763 6.6763 34.3395
angles (deg): 90.00 90.00 120.00
Space group R-3m (No. 166, hexagonal axes)
Symmetry-distinct sites (fractional):
La (0.0000, 0.0000, 0.0000) x3
La (0.0000, 0.0000, 0.1529) x6
Pm (0.0000, 0.0000, 0.5000) x3
Pm (0.0032, 0.5016, 0.9161) x18
Y (0.0000, 0.0000, 0.3338) x6

---

10.
Theoretical powder diffractogram of PmHIr for CuKα, from a crystal structure in Alexandria, relaxed with GGA-PBE.
Intensities are scaled so that the largest is 100.

Top 6 peaks for 10 to 90 degrees two-theta, in order of falling intensity:
| 2θ/deg | I_rel | (hkl) |
| --- | --- | --- |
| 31.50 | 100 | 0 2 2 |
| 37.05 | 71 | 2 2 0 |
| 40.01 | 53 | 2 0 2 |
| 57.62 | 37 | 2 4 2 |
| 39.68 | 29 | 0 4 0 |
| 63.96 | 22 | 2 2 4 |

a b c (Å): 5.741 9.085 7.277
angles (deg): 90.00 90.00 90.00
Space group Fdd2 (No. 43)
Symmetry-distinct sites (fractional):
Pm (0.000, 0.000, 0.000) x8
H (0.000, 0.000, 0.319) x8
Ir (0.000, 0.000, 0.542) x8

---

11.
Theoretical powder diffractogram of Th2VFe for CuKα, from a crystal structure in Alexandria, relaxed with GGA-PBE.
Intensities are scaled so that the largest is 100.

Top 6 peaks for 10 to 90 degrees two-theta, in order of falling intensity:
| 2θ/deg | I_rel | (hkl) |
| --- | --- | --- |
| 32.51 | 100 | 0 1 5 |
| 28.10 | 85 | 1 0 1 |
| 43.79 | 58 | 1 0 10 |
| 38.72 | 51 | 0 1 8 |
| 30.92 | 50 | 1 0 4 |
| 49.36 | 50 | 1 1 0 |

a b c (Å): 3.6925 3.6925 27.1015
angles (deg): 90.00 90.00 120.00
Space group R-3m (No. 166, hexagonal axes)
Symmetry-distinct sites (fractional):
Th (0.0000, 0.0000, 0.1078) x6
V (0.0000, 0.0000, 0.0000) x3
Fe (0.0000, 0.0000, 0.5000) x3

---

12.
Theoretical powder diffractogram of SmPu2Cu2Si2 for CuKα, from a crystal structure in Alexandria, relaxed with GGA-PBE.
Intensities are scaled so that the largest is 100.

Top 6 peaks for 10 to 90 degrees two-theta, in order of falling intensity:
| 2θ/deg | I_rel | (hkl) |
| --- | --- | --- |
| 34.93 | 100 | 1 0 7 |
| 45.71 | 63 | 1 1 0 |
| 26.13 | 39 | 1 0 1 |
| 19.69 | 31 | 0 0 6 |
| 58.80 | 23 | 0 2 7 |
| 30.82 | 21 | 0 1 5 |

a b c (Å): 3.9695 3.9695 27.0487
angles (deg): 90.00 90.00 120.00
Space group R-3m (No. 166, hexagonal axes)
Symmetry-distinct sites (fractional):
Sm (0.0000, 0.0000, 0.0000) x3
Pu (0.0000, 0.0000, 0.1503) x6
Cu (0.0000, 0.0000, 0.4102) x6
Si (0.0000, 0.0000, 0.2562) x6

---

13.
Theoretical powder diffractogram of Zn2Se2O7 for CuKα, from a crystal structure in Alexandria, relaxed with GGA-PBE.
Intensities are scaled so that the largest is 100.

Top 6 peaks for 10 to 90 degrees two-theta, in order of falling intensity:
| 2θ/deg | I_rel | (hkl) |
| --- | --- | --- |
| 25.51 | 100 | 1 2 -1 |
| 30.98 | 70 | 1 1 1 |
| 30.26 | 25 | 1 3 0 |
| 32.10 | 24 | 0 4 0 |
| 23.67 | 24 | 0 2 1 |
| 32.87 | 18 | 1 0 -2 |

a b c (Å): 5.266 11.153 5.511
angles (deg): 90.00 112.58 90.00
Space group P2_1/c (No. 14)
Symmetry-distinct sites (fractional):
Zn (0.042, 0.143, 0.427) x4
Se (0.329, 0.596, 0.690) x4
O (0.083, 0.689, 0.462) x4
O (0.149, 0.544, 0.882) x4
O (0.435, 0.193, 0.612) x4
O (0.500, 0.000, 0.000) x2